# 1
The following is a theoretical XRD peak list of HoH2ClO2. It was derived from a cell relaxed with GGA-PBE, using Cu Kα X-rays.

Main lines, by angle (2θ = 5–70°):
2θ/deg  I (rel.)  hkl
13.95  100.0  0 0 1
17.26  30.5  1 0 -1
23.35  44.9  1 0 1
27.75  24.9  1 0 -2
28.92  39.2  1 1 0
30.21  91.3  2 0 0
34.17  37.0  1 1 1
37.69  51.4  0 1 2
43.18  25.9  2 1 -2
51.00  24.7  3 1 -1

Crystal structure
Lattice parameters (Å, degrees): 6.1830 3.6187 6.6381 90.00 106.93 90.00
Space group P2_1/m (No. 11)
Asymmetric unit:
Ho 0.2128 0.2500 0.3855 x2
H 0.1555 0.2500 0.8054 x2
H 0.3739 0.7500 0.7304 x2
Cl 0.2676 0.7500 0.0702 x2
O 0.0526 0.2500 0.6621 x2
O 0.3956 0.7500 0.5903 x2

---

# 2
The following is a theoretical XRD peak list of K2HI2ClO6. It was derived from a cell relaxed with GGA-PBE, using Cu Kα X-rays.

Main lines, by angle (2θ = 5–70°):
2θ/deg  I (rel.)  hkl
15.43  19.1  2 0 1
17.69  50.2  2 1 0
20.24  38.0  0 0 2
23.43  18.8  4 0 0
26.72  17.1  0 2 0
27.01  100.0  2 1 2
28.91  40.7  4 1 1
35.83  19.8  4 2 0
41.19  25.6  0 0 4
46.18  21.2  6 2 1

Crystal structure
Lattice parameters (Å, degrees): 15.1866 6.6737 8.7739 90.00 90.00 90.00
Space group Pca2_1 (No. 29)
Asymmetric unit:
K 0.0154 0.0197 0.0000 x4
K 0.2361 0.5585 0.0067 x4
H 0.1080 0.2860 0.7370 x4
I 0.0345 0.5046 0.2599 x4
I 0.2179 0.0645 0.2680 x4
Cl 0.1243 0.7762 0.7281 x4
O 0.0416 0.2627 0.7255 x4
O 0.0551 0.4509 0.0602 x4
O 0.1142 0.1886 0.3297 x4
O 0.1273 0.6662 0.3042 x4
O 0.1953 0.0155 0.0673 x4
O 0.2130 0.2895 0.7531 x4

---

# 3
The following is a theoretical XRD peak list of K2InH2Cl5O. It was derived from a cell relaxed with GGA-PBE, using Cu Kα X-rays.

Main lines, by angle (2θ = 5–70°):
2θ/deg  I (rel.)  hkl
14.94  92.8  0 1 1
15.31  95.4  2 1 0
17.40  49.6  2 0 1
24.88  34.4  2 2 1
28.65  27.6  3 2 1
29.44  39.7  2 3 0
30.85  100.0  3 0 2
35.22  32.6  4 0 2
35.72  63.5  0 4 0
47.90  25.8  3 4 2

Crystal structure
Lattice parameters (Å, degrees): 14.1554 10.0558 7.3449 90.00 90.00 90.00
Space group Pnma (No. 62)
Asymmetric unit:
K 0.1475 0.0003 0.1410 x8
In 0.1134 0.2500 0.6868 x4
H 0.0472 0.6702 0.5429 x8
Cl 0.0024 0.2500 0.9583 x4
Cl 0.1060 0.5014 0.6846 x8
Cl 0.2178 0.2500 0.4100 x4
Cl 0.2440 0.7500 0.3948 x4
O 0.0120 0.7500 0.5036 x4

---

# 4
The following is a theoretical XRD peak list of K2H3IrNCl5. It was derived from a cell relaxed with GGA-PBE, using Cu Kα X-rays.

Main lines, by angle (2θ = 5–70°):
2θ/deg  I (rel.)  hkl
15.31  91.7  0 1 1
15.53  100.0  2 1 0
17.47  23.1  0 2 0
18.00  49.1  2 0 1
25.19  35.2  2 2 1
30.16  22.1  4 1 1
32.01  23.2  3 0 2
35.36  33.3  0 4 0
39.96  17.3  2 4 1
44.26  17.0  4 4 0

Crystal structure
Lattice parameters (Å, degrees): 13.8027 10.1518 7.0412 90.00 90.00 90.00
Space group Pnma (No. 62)
Asymmetric unit:
K 0.1532 0.0014 0.1311 x8
H 0.0041 0.1678 0.5810 x8
H 0.0679 0.2500 0.4224 x4
Ir 0.1141 0.7500 0.6864 x4
N 0.0033 0.2500 0.4949 x4
Cl 0.0066 0.7500 0.9521 x4
Cl 0.1109 0.5168 0.6830 x8
Cl 0.2153 0.7500 0.4147 x4
Cl 0.2461 0.2500 0.3925 x4

---

# 5
The following is a theoretical XRD peak list of K2H2IrCl5O. It was derived from a cell relaxed with GGA-PBE, using Cu Kα X-rays.

Main lines, by angle (2θ = 5–70°):
2θ/deg  I (rel.)  hkl
15.07  100.0  0 1 1
15.96  86.4  2 1 0
17.28  55.1  2 0 1
19.20  18.3  0 2 0
25.95  29.9  2 2 1
28.25  17.8  4 0 1
30.40  22.5  3 0 2
31.31  18.5  0 3 1
31.77  19.3  2 3 0
38.97  25.4  0 4 0

Crystal structure
Lattice parameters (Å, degrees): 13.8872 9.2445 7.6148 90.00 90.00 90.00
Space group Pnma (No. 62)
Asymmetric unit:
K 0.1541 0.0027 0.1226 x8
H 0.0362 0.1634 0.5283 x8
Ir 0.1030 0.7500 0.6928 x4
Cl 0.0087 0.7500 0.9531 x4
Cl 0.1019 0.0064 0.6967 x8
Cl 0.1957 0.7500 0.4299 x4
Cl 0.2430 0.7500 0.8639 x4
O 0.0262 0.2500 0.4529 x4

---

# 6
The following is a theoretical XRD peak list of K2H2RhCl5O. It was derived from a cell relaxed with GGA-PBE, using Cu Kα X-rays.

Main lines, by angle (2θ = 5–70°):
2θ/deg  I (rel.)  hkl
14.25  100.0  0 1 1
15.15  74.5  2 1 0
16.39  71.1  2 0 1
18.15  35.0  0 2 0
24.55  92.4  2 2 1
26.82  68.8  4 0 1
28.76  47.8  3 0 2
29.58  64.0  0 3 1
30.04  68.2  2 3 0
33.12  51.1  4 0 2

Crystal structure
Lattice parameters (Å, degrees): 14.6028 9.7730 8.0556 90.00 90.00 90.00
Space group Pnma (No. 62)
Asymmetric unit:
K 0.1690 0.0058 0.1978 x8
H 0.0580 0.0468 0.8378 x8
Rh 0.1049 0.7500 0.7017 x4
Cl 0.0078 0.7500 0.9477 x4
Cl 0.0935 0.0833 0.6977 x8
Cl 0.2084 0.7500 0.4645 x4
Cl 0.2353 0.7500 0.8933 x4
O 0.0061 0.7500 0.5758 x4

---

What did the second record say?
The following is a theoretical XRD peak list of K2HI2ClO6. It was derived from a cell relaxed with GGA-PBE, using Cu Kα X-rays.

Main lines, by angle (2θ = 5–70°):
2θ/deg  I (rel.)  hkl
15.43  19.1  2 0 1
17.69  50.2  2 1 0
20.24  38.0  0 0 2
23.43  18.8  4 0 0
26.72  17.1  0 2 0
27.01  100.0  2 1 2
28.91  40.7  4 1 1
35.83  19.8  4 2 0
41.19  25.6  0 0 4
46.18  21.2  6 2 1

Crystal structure
Lattice parameters (Å, degrees): 15.1866 6.6737 8.7739 90.00 90.00 90.00
Space group Pca2_1 (No. 29)
Asymmetric unit:
K 0.0154 0.0197 0.0000 x4
K 0.2361 0.5585 0.0067 x4
H 0.1080 0.2860 0.7370 x4
I 0.0345 0.5046 0.2599 x4
I 0.2179 0.0645 0.2680 x4
Cl 0.1243 0.7762 0.7281 x4
O 0.0416 0.2627 0.7255 x4
O 0.0551 0.4509 0.0602 x4
O 0.1142 0.1886 0.3297 x4
O 0.1273 0.6662 0.3042 x4
O 0.1953 0.0155 0.0673 x4
O 0.2130 0.2895 0.7531 x4